Starting from a cell relaxed with GGA-PBE, the PXRD pattern of Er5InRh2 was simulated for copper Kα.
No peak broadening, texture or thermal motion is included.

Main lines, low angle first (10 to 90 degrees two-theta):
31.32°, rel. 22
32.82°, rel. 100
35.49°, rel. 28
36.90°, rel. 55
42.71°, rel. 22
53.14°, rel. 20
54.76°, rel. 15
57.73°, rel. 15
67.84°, rel. 16
68.92°, rel. 19

Atomic structure:
Cell: 8.6423 8.6423 8.6423 Å, 127.06 127.06 78.15°
Fractional coordinates of all 16 atoms:
1 Er 0.0000 0.0000 0.0000
2 Er 0.0241 0.5241 0.8178
3 Er 0.2063 0.0241 0.5000
4 Er 0.2937 0.7937 0.8178
5 Er 0.4759 0.2937 0.5000
6 Er 0.5000 0.5000 0.0000
7 Er 0.5241 0.7063 0.5000
8 Er 0.7063 0.2063 0.1822
9 Er 0.7937 0.9759 0.5000
10 Er 0.9759 0.4759 0.1822
11 In 0.2500 0.2500 0.0000
12 In 0.7500 0.7500 0.0000
13 Rh 0.1397 0.3603 0.5000
14 Rh 0.3603 0.8603 0.2205
15 Rh 0.6397 0.1397 0.7795
16 Rh 0.8603 0.6397 0.5000


Starting from a cell relaxed with GGA-PBE, the PXRD pattern of Er2InRh3 was simulated for copper Kα.
No peak broadening, texture or thermal motion is included.

Main lines, low angle first (10 to 90 degrees two-theta):
23.10°, rel. 1
26.73°, rel. 4
38.17°, rel. 100
45.09°, rel. 1
47.21°, rel. 1
55.08°, rel. 17
62.26°, rel. 1
68.98°, rel. 34
81.67°, rel. 11
87.83°, rel. 1

Atomic structure:
Cell: 4.7148 4.7148 11.5568 Å, 90.00 90.00 120.00°
Fractional coordinates of all 12 atoms:
1 Er 0.0000 0.0000 0.0000
2 Er 0.0000 0.0000 0.5000
3 Er 0.3333 0.6667 0.1769
4 Er 0.6667 0.3333 0.8231
5 In 0.3333 0.6667 0.6653
6 In 0.6667 0.3333 0.3347
7 Rh 0.0000 0.0000 0.2511
8 Rh 0.0000 0.0000 0.7489
9 Rh 0.3333 0.6667 0.4204
10 Rh 0.3333 0.6667 0.9160
11 Rh 0.6667 0.3333 0.0840
12 Rh 0.6667 0.3333 0.5796


Starting from a cell relaxed with GGA-PBE, the PXRD pattern of Er6In3Ru was simulated for copper Kα.
No peak broadening, texture or thermal motion is included.

Main lines, low angle first (10 to 90 degrees two-theta):
32.12°, rel. 27
33.56°, rel. 24
34.02°, rel. 73
34.30°, rel. 64
34.40°, rel. 100
34.84°, rel. 16
37.83°, rel. 15
48.76°, rel. 19
61.49°, rel. 18
61.67°, rel. 17

Atomic structure:
Cell: 9.1584 5.2287 11.2443 Å, 90.00 107.48 90.00°
Fractional coordinates of all 20 atoms:
1 Er 0.0439 0.2500 0.4168
2 Er 0.1942 0.7500 0.1672
3 Er 0.2845 0.2500 0.0043
4 Er 0.3502 0.7500 0.8291
5 Er 0.3745 0.2500 0.3405
6 Er 0.3954 0.2500 0.6476
7 Er 0.6046 0.7500 0.3524
8 Er 0.6255 0.7500 0.6595
9 Er 0.6498 0.2500 0.1709
10 Er 0.7155 0.7500 0.9957
11 Er 0.8058 0.2500 0.8328
12 Er 0.9561 0.7500 0.5832
13 In 0.0109 0.7500 0.8806
14 In 0.0942 0.2500 0.7193
15 In 0.2765 0.7500 0.4769
16 In 0.7235 0.2500 0.5231
17 In 0.9058 0.7500 0.2807
18 In 0.9891 0.2500 0.1194
19 Ru 0.4622 0.7500 0.0942
20 Ru 0.5378 0.2500 0.9058


Starting from a cell relaxed with GGA-PBE, the PXRD pattern of Er4In2Ru was simulated for copper Kα.
No peak broadening, texture or thermal motion is included.

Main lines, low angle first (10 to 90 degrees two-theta):
29.63°, rel. 100
29.76°, rel. 38
33.09°, rel. 68
33.36°, rel. 33
34.35°, rel. 48
35.04°, rel. 38
39.30°, rel. 30
39.62°, rel. 33
40.96°, rel. 37
52.64°, rel. 26

Atomic structure:
Cell: 6.4905 3.4702 9.0910 Å, 90.00 109.76 90.00°
Fractional coordinates of all 7 atoms:
1 Er 0.1192 0.0000 0.2539
2 Er 0.3339 0.5000 0.6492
3 Er 0.6661 0.5000 0.3508
4 Er 0.8808 0.0000 0.7461
5 In 0.2693 0.5000 0.0018
6 In 0.7307 0.5000 0.9982
7 Ru 0.0000 0.0000 0.5000


Starting from a cell relaxed with GGA-PBE, the PXRD pattern of Er7InS5 was simulated for copper Kα.
No peak broadening, texture or thermal motion is included.

Main lines, low angle first (10 to 90 degrees two-theta):
28.53°, rel. 56
30.26°, rel. 100
30.81°, rel. 38
31.99°, rel. 100
33.17°, rel. 54
42.64°, rel. 22
46.50°, rel. 41
46.87°, rel. 33
55.28°, rel. 26
56.81°, rel. 34

Atomic structure:
Cell: 6.7481 6.7481 23.2483 Å, 90.00 90.00 146.62°
Fractional coordinates of all 26 atoms:
1 Er 0.0124 0.9876 0.7500
2 Er 0.1365 0.8635 0.0354
3 Er 0.1365 0.8635 0.4646
4 Er 0.3249 0.6751 0.6722
5 Er 0.3249 0.6751 0.8278
6 Er 0.4059 0.5941 0.1110
7 Er 0.4059 0.5941 0.3890
8 Er 0.5941 0.4059 0.6110
9 Er 0.5941 0.4059 0.8890
10 Er 0.6751 0.3249 0.1722
11 Er 0.6751 0.3249 0.3278
12 Er 0.8635 0.1365 0.5354
13 Er 0.8635 0.1365 0.9646
14 Er 0.9876 0.0124 0.2500
15 In 0.3030 0.6970 0.2500
16 In 0.6970 0.3030 0.7500
17 S 0.0439 0.9561 0.1384
18 S 0.0439 0.9561 0.3616
19 S 0.2266 0.7734 0.5699
20 S 0.2266 0.7734 0.9301
21 S 0.5000 0.5000 0.0000
22 S 0.5000 0.5000 0.5000
23 S 0.7734 0.2266 0.0699
24 S 0.7734 0.2266 0.4301
25 S 0.9561 0.0439 0.6384
26 S 0.9561 0.0439 0.8616


Starting from a cell relaxed with GGA-PBE, the PXRD pattern of Er6InS3 was simulated for copper Kα.
No peak broadening, texture or thermal motion is included.

Main lines, low angle first (10 to 90 degrees two-theta):
28.45°, rel. 21
28.56°, rel. 35
30.63°, rel. 34
30.96°, rel. 87
31.24°, rel. 100
31.60°, rel. 47
43.01°, rel. 32
46.05°, rel. 21
48.85°, rel. 26
59.13°, rel. 35

Atomic structure:
Cell: 11.3256 3.7287 11.9554 Å, 90.00 103.82 90.00°
Fractional coordinates of all 20 atoms:
1 Er 0.0294 0.2500 0.1409
2 Er 0.1281 0.7500 0.4537
3 Er 0.2021 0.2500 0.7482
4 Er 0.3165 0.7500 0.0292
5 Er 0.3188 0.2500 0.2757
6 Er 0.4172 0.2500 0.5965
7 Er 0.5828 0.7500 0.4035
8 Er 0.6812 0.7500 0.7243
9 Er 0.6835 0.2500 0.9708
10 Er 0.7979 0.7500 0.2518
11 Er 0.8719 0.2500 0.5463
12 Er 0.9706 0.7500 0.8591
13 In 0.4511 0.7500 0.8255
14 In 0.5489 0.2500 0.1745
15 S 0.0369 0.7500 0.6485
16 S 0.1357 0.2500 0.9523
17 S 0.3583 0.7500 0.4366
18 S 0.6417 0.2500 0.5634
19 S 0.8643 0.7500 0.0477
20 S 0.9631 0.2500 0.3515


Starting from a cell relaxed with GGA-PBE, the PXRD pattern of Er6InSb3 was simulated for copper Kα.
No peak broadening, texture or thermal motion is included.

Main lines, low angle first (10 to 90 degrees two-theta):
30.68°, rel. 39
32.47°, rel. 100
32.83°, rel. 94
34.77°, rel. 48
35.28°, rel. 48
43.11°, rel. 32
56.53°, rel. 24
56.88°, rel. 24
65.43°, rel. 18
66.51°, rel. 17

Atomic structure:
Cell: 8.1030 8.1030 8.3937 Å, 90.00 90.00 88.65°
Fractional coordinates of all 20 atoms:
1 Er 0.0032 0.4985 0.7500
2 Er 0.1604 0.8396 0.5008
3 Er 0.1604 0.8396 0.9992
4 Er 0.3397 0.3397 0.0000
5 Er 0.3397 0.3397 0.5000
6 Er 0.4985 0.0032 0.2500
7 Er 0.5015 0.9968 0.7500
8 Er 0.6603 0.6603 0.0000
9 Er 0.6603 0.6603 0.5000
10 Er 0.8396 0.1604 0.0008
11 Er 0.8396 0.1604 0.4992
12 Er 0.9968 0.5015 0.2500
13 In 0.3568 0.6432 0.7500
14 In 0.6432 0.3568 0.2500
15 Sb 0.1429 0.1468 0.2500
16 Sb 0.1468 0.1429 0.7500
17 Sb 0.3606 0.6394 0.2500
18 Sb 0.6394 0.3606 0.7500
19 Sb 0.8532 0.8571 0.2500
20 Sb 0.8571 0.8532 0.7500


Starting from a cell relaxed with GGA-PBE, the PXRD pattern of Er5ScIn4 was simulated for copper Kα.
No peak broadening, texture or thermal motion is included.

Main lines, low angle first (10 to 90 degrees two-theta):
33.59°, rel. 100
34.25°, rel. 48
47.24°, rel. 9
49.22°, rel. 17
59.63°, rel. 19
60.91°, rel. 35
70.60°, rel. 11
78.99°, rel. 8
81.99°, rel. 8
82.37°, rel. 8

Atomic structure:
Cell: 3.7023 3.7023 19.2414 Å, 90.00 90.00 90.00°
Fractional coordinates of all 10 atoms:
1 Er 0.0000 0.0000 0.0000
2 Er 0.0000 0.0000 0.1972
3 Er 0.0000 0.0000 0.3963
4 Er 0.0000 0.0000 0.6037
5 Er 0.0000 0.0000 0.8028
6 Sc 0.5000 0.5000 0.5000
7 In 0.5000 0.5000 0.0987
8 In 0.5000 0.5000 0.2975
9 In 0.5000 0.5000 0.7025
10 In 0.5000 0.5000 0.9013


Starting from a cell relaxed with GGA-PBE, the PXRD pattern of Er6Sc2In3 was simulated for copper Kα.
No peak broadening, texture or thermal motion is included.

Main lines, low angle first (10 to 90 degrees two-theta):
15.87°, rel. 18
24.74°, rel. 38
28.40°, rel. 39
32.63°, rel. 24
33.33°, rel. 90
33.70°, rel. 100
47.34°, rel. 16
47.85°, rel. 33
53.33°, rel. 17
59.80°, rel. 38

Atomic structure:
Cell: 11.7970 11.7970 11.7970 Å, 153.66 153.66 37.60°
Fractional coordinates of all 11 atoms:
1 Er 0.0927 0.5927 0.5000
2 Er 0.1949 0.1949 0.0000
3 Er 0.4073 0.9073 0.5000
4 Er 0.5927 0.0927 0.5000
5 Er 0.8051 0.8051 0.0000
6 Er 0.9073 0.4073 0.5000
7 Sc 0.0558 0.0558 0.0000
8 Sc 0.9442 0.9442 0.0000
9 In 0.3316 0.3316 0.0000
10 In 0.5000 0.5000 0.0000
11 In 0.6684 0.6684 0.0000


Starting from a cell relaxed with GGA-PBE, the PXRD pattern of ErSc5In3 was simulated for copper Kα.
No peak broadening, texture or thermal motion is included.

Main lines, low angle first (10 to 90 degrees two-theta):
11.58°, rel. 32
24.55°, rel. 32
34.76°, rel. 94
35.24°, rel. 100
50.34°, rel. 32
62.93°, rel. 31
63.25°, rel. 18
69.68°, rel. 25
74.53°, rel. 11
84.92°, rel. 13

Atomic structure:
Cell: 8.8220 8.8220 6.3650 Å, 90.00 90.00 120.00°
Fractional coordinates of all 18 atoms:
1 Er 0.0000 0.0000 0.0000
2 Er 0.0000 0.0000 0.5000
3 Sc 0.0000 0.3362 0.2500
4 Sc 0.0000 0.6638 0.7500
5 Sc 0.3333 0.6667 0.0000
6 Sc 0.3333 0.6667 0.5000
7 Sc 0.3362 0.0000 0.2500
8 Sc 0.3362 0.3362 0.7500
9 Sc 0.6638 0.0000 0.7500
10 Sc 0.6638 0.6638 0.2500
11 Sc 0.6667 0.3333 0.0000
12 Sc 0.6667 0.3333 0.5000
13 In 0.0000 0.3353 0.7500
14 In 0.0000 0.6647 0.2500
15 In 0.3353 0.0000 0.7500
16 In 0.3353 0.3353 0.2500
17 In 0.6647 0.0000 0.2500
18 In 0.6647 0.6647 0.7500


Starting from a cell relaxed with GGA-PBE, the PXRD pattern of Er6ScIn3 was simulated for copper Kα.
No peak broadening, texture or thermal motion is included.

Main lines, low angle first (10 to 90 degrees two-theta):
28.73°, rel. 45
28.98°, rel. 19
32.05°, rel. 23
32.58°, rel. 32
33.17°, rel. 24
33.35°, rel. 100
34.44°, rel. 32
38.98°, rel. 22
39.28°, rel. 18
57.05°, rel. 19

Atomic structure:
Cell: 9.2980 9.2980 6.6032 Å, 90.00 90.00 96.15°
Fractional coordinates of all 20 atoms:
1 Er 0.0142 0.4375 0.8776
2 Er 0.0791 0.9209 0.5000
3 Er 0.2620 0.3010 0.1835
4 Er 0.3010 0.2620 0.6835
5 Er 0.3029 0.6971 0.1771
6 Er 0.4375 0.0142 0.3776
7 Er 0.5625 0.9858 0.8776
8 Er 0.6971 0.3029 0.6771
9 Er 0.6990 0.7380 0.1835
10 Er 0.7380 0.6990 0.6835
11 Er 0.9209 0.0791 0.0000
12 Er 0.9858 0.5625 0.3776
13 Sc 0.3074 0.6926 0.6812
14 Sc 0.6926 0.3074 0.1812
15 In 0.0101 0.7593 0.9555
16 In 0.2407 0.9899 0.9555
17 In 0.5004 0.4996 0.4275
18 In 0.4996 0.5004 0.9275
19 In 0.7593 0.0101 0.4555
20 In 0.9899 0.2407 0.4555


Starting from a cell relaxed with GGA-PBE, the PXRD pattern of Er5Sc3In was simulated for copper Kα.
No peak broadening, texture or thermal motion is included.

Main lines, low angle first (10 to 90 degrees two-theta):
21.79°, rel. 39
22.92°, rel. 71
26.88°, rel. 72
27.00°, rel. 64
31.83°, rel. 100
33.67°, rel. 48
34.04°, rel. 35
34.54°, rel. 41
37.16°, rel. 54
53.81°, rel. 32

Atomic structure:
Cell: 7.9579 7.9579 9.3953 Å, 102.53 102.53 89.90°
Fractional coordinates of all 18 atoms:
1 Er 0.1086 0.6195 0.3255
2 Er 0.2385 0.2385 0.4209
3 Er 0.2422 0.7578 0.0000
4 Er 0.2508 0.2508 0.0813
5 Er 0.3805 0.8914 0.6745
6 Er 0.6195 0.1086 0.3255
7 Er 0.7492 0.7492 0.9187
8 Er 0.7578 0.2422 0.0000
9 Er 0.7615 0.7615 0.5791
10 Er 0.8914 0.3805 0.6745
11 Sc 0.0000 0.0000 0.5000
12 Sc 0.0095 0.0095 0.8275
13 Sc 0.4933 0.4933 0.6614
14 Sc 0.5000 0.5000 0.0000
15 Sc 0.5067 0.5067 0.3386
16 Sc 0.9905 0.9905 0.1725
17 In 0.2646 0.2646 0.7587
18 In 0.7354 0.7354 0.2413